For DyHoCr2O8, a cell relaxed with GGA+U gives the calculated X-ray diffraction stick pattern in this record (Cu Kα).
Lines closer than 0.1° are merged.

Atomic structure:
```
data_DyHoCr2O8
_chemical_formula_sum 'Dy2 Ho2 Cr4 O16'
_space_group_name_H-M_alt 'I -4 m 2'
_space_group_IT_number 119
_space_group_name_Hall 'I -4 -2'
_cell_length_a 7.1957
_cell_length_b 7.1957
_cell_length_c 6.2829
_cell_angle_alpha 90.00
_cell_angle_beta 90.00
_cell_angle_gamma 90.00
loop_
_atom_site_label
_atom_site_fract_x
_atom_site_fract_y
_atom_site_fract_z
Dy1 0.0000 0.0000 0.0000
Ho1 0.0000 0.5000 0.7500
Cr1 0.0000 0.0000 0.5000
Cr2 0.0000 0.5000 0.2500
O1 0.0000 0.1849 0.6745
O2 0.0000 0.3160 0.0746
```

Largest 12 diffraction maxima, in order of rising 2θ, 10° ≤ 2θ ≤ 80°:
two_theta	I_rel	(hkl)
18.75	38.1	1 0 1
24.75	100.0	2 0 0
31.23	12.9	2 1 1
33.53	70.2	1 1 2
35.28	22.2	2 2 0
40.25	14.2	3 0 1
47.82	12.6	3 2 1
49.46	58.5	3 1 2
50.75	15.7	4 0 0
57.26	14.0	4 2 0
62.20	17.1	3 3 2
73.58	13.4	5 1 2